Structure and computed powder diffraction line list of AcMn2AgSe4 (a cell relaxed with GGA-PBE; Cu Kα).
Intensities are scaled so that the largest is 100.

Peak list (10 most intense, 10° ≤ 2θ ≤ 90°, most intense first)
2θ 28.45, d 3.138, rel. 100
2θ 31.01, d 2.884, rel. 77
2θ 13.98, d 6.336, rel. 40
2θ 42.16, d 2.143, rel. 36
2θ 35.76, d 2.511, rel. 27
2θ 32.12, d 2.786, rel. 27
2θ 28.17, d 3.168, rel. 26
2θ 45.44, d 1.996, rel. 26
2θ 48.47, d 1.878, rel. 24
2θ 25.80, d 3.453, rel. 23

Structure:
```
AcMn2AgSe4
1.0
2.143 -7.415 0.000
2.143 7.415 0.000
0.000 0.000 12.672
Ac Mn Ag Se
2 4 2 8
Cartesian
2.143 5.903 9.504
2.143 -5.903 3.168
2.143 1.571 6.989
2.143 1.571 12.019
2.143 -1.571 0.653
2.143 -1.571 5.683
2.143 4.930 3.168
2.143 -4.930 9.504
0.000 0.000 0.000
0.000 0.000 6.336
2.143 2.941 1.385
2.143 2.941 4.951
2.143 0.907 9.504
2.143 -0.907 3.168
2.143 -2.941 7.721
2.143 -2.941 11.288
```